Diffraction record for Er3ScAu2. The PXRD pattern is simulated, not measured: it uses DFT lattice parameters and positions (GGA-PBE) and Cu Kα, 1.54184 Å.
No peak broadening, texture or thermal motion is included.

Peak list (10 most intense, 2θ = 10–90°, most intense first)
| h k l | Position (°2θ) | intensity |
| --- | --- | --- |
| 1 3 0 | 35.6 | 100 |
| 1 1 2 | 33.6 | 86 |
| 2 0 0 | 36.7 | 68 |
| 1 2 1 | 30.2 | 41 |
| 1 0 2 | 31.9 | 41 |
| 1 3 2 | 44.6 | 35 |
| 0 2 2 | 33.1 | 33 |
| 1 1 0 | 20.7 | 24 |
| 1 1 3 | 45.1 | 23 |
| 0 4 0 | 40.9 | 22 |

Crystal structure
```
Er3ScAu2
1.0
4.8956 0.0000 0.0000
0.0000 8.8376 0.0000
0.0000 0.0000 6.8324
Er Sc Au
6 2 4
Direct
0.0000 0.0685 0.0000 Er
0.0000 0.3363 0.3558 Er
0.0000 0.6637 0.8558 Er
0.0000 0.9315 0.5000 Er
0.5000 0.1747 0.6654 Er
0.5000 0.8253 0.1654 Er
0.5000 0.4298 0.0239 Sc
0.5000 0.5702 0.5239 Sc
0.0000 0.3469 0.7765 Au
0.0000 0.6531 0.2765 Au
0.5000 0.1550 0.2462 Au
0.5000 0.8450 0.7462 Au
```